1.
The following is a theoretical powder diffraction line list of Ho4IrSe3. It was derived from a cell relaxed with PBE, using Cu Kα (λ = 1.5418 Å).
Kinematic intensities with the Lorentz-polarization factor, no thermal factor.

Main lines, sorted by position (10 to 80 degrees two-theta):
- 2θ = 13.05°, I 22
- 2θ = 30.76°, I 51
- 2θ = 30.91°, I 100
- 2θ = 43.31°, I 18
- 2θ = 44.17°, I 73
- 2θ = 45.24°, I 18
- 2θ = 54.05°, I 19
- 2θ = 55.70°, I 19
- 2θ = 72.83°, I 15
- 2θ = 73.07°, I 15

Crystal structure
```
Ho4IrSe3
1.0
4.179 -5.813 0.000
4.179 5.813 0.000
0.000 0.000 4.009
Ho Ir Se
4 1 3
direct
0.226 0.226 0.500
0.238 0.762 0.000
0.762 0.238 0.000
0.774 0.774 0.500
0.000 0.000 0.000
0.000 0.500 0.500
0.500 0.000 0.500
0.500 0.500 0.000
```

---

2.
The following is a theoretical powder diffraction line list of RbNa2Sn. It was derived from a cell relaxed with PBE, using Cu Kα (λ = 1.5418 Å).
Kinematic intensities with the Lorentz-polarization factor, no thermal factor.

Main lines, sorted by position (10 to 80 degrees two-theta):
- 2θ = 11.12°, I 74
- 2θ = 15.84°, I 59
- 2θ = 23.14°, I 33
- 2θ = 26.97°, I 63
- 2θ = 27.74°, I 93
- 2θ = 27.85°, I 51
- 2θ = 30.52°, I 29
- 2θ = 31.37°, I 100
- 2θ = 31.77°, I 35
- 2θ = 43.07°, I 30

Crystal structure
```
RbNa2Sn
1.0
9.648 0.000 0.000
0.000 7.101 0.000
-6.265 0.000 9.140
Rb Na Sn
4 8 4
direct
0.127 0.100 0.387
0.127 0.400 0.887
0.873 0.600 0.113
0.873 0.900 0.613
0.323 0.645 0.365
0.323 0.855 0.865
0.462 0.187 0.282
0.462 0.313 0.782
0.538 0.687 0.218
0.538 0.813 0.718
0.677 0.145 0.135
0.677 0.355 0.635
0.170 0.597 0.564
0.170 0.903 0.064
0.830 0.097 0.936
0.830 0.403 0.436
```

---

3.
The following is a theoretical powder diffraction line list of Nd10Y6Ho. It was derived from a cell relaxed with PBE, using Cu Kα (λ = 1.5418 Å).
Kinematic intensities with the Lorentz-polarization factor, no thermal factor.

Main lines, sorted by position (10 to 80 degrees two-theta):
- 2θ = 22.08°, I 9
- 2θ = 24.44°, I 10
- 2θ = 30.49°, I 41
- 2θ = 31.36°, I 77
- 2θ = 31.50°, I 100
- 2θ = 45.04°, I 27
- 2θ = 48.16°, I 15
- 2θ = 55.88°, I 25
- 2θ = 56.17°, I 17
- 2θ = 61.82°, I 12

Crystal structure
```
Nd10Y6Ho
1.0
9.883 0.000 0.000
-4.941 8.559 0.000
0.000 0.000 6.942
Nd Y Ho
10 6 1
direct
0.000 0.274 0.183
0.000 0.726 0.817
0.274 0.000 0.183
0.274 0.274 0.817
0.333 0.667 0.000
0.333 0.667 0.500
0.667 0.333 0.000
0.667 0.333 0.500
0.726 0.000 0.817
0.726 0.726 0.183
0.000 0.369 0.689
0.000 0.631 0.311
0.369 0.000 0.689
0.369 0.369 0.311
0.631 0.000 0.311
0.631 0.631 0.689
0.000 0.000 0.500
```

---

4.
The following is a theoretical powder diffraction line list of NaPu3I8. It was derived from a cell relaxed with PBE, using Cu Kα (λ = 1.5418 Å).
Kinematic intensities with the Lorentz-polarization factor, no thermal factor.

Main lines, sorted by position (10 to 80 degrees two-theta):
- 2θ = 11.62°, I 77
- 2θ = 11.85°, I 17
- 2θ = 22.80°, I 26
- 2θ = 22.92°, I 17
- 2θ = 27.34°, I 100
- 2θ = 27.69°, I 49
- 2θ = 38.58°, I 19
- 2θ = 39.07°, I 38
- 2θ = 39.52°, I 57
- 2θ = 48.92°, I 20

Crystal structure
```
NaPu3I8
1.0
7.897 -4.562 0.000
7.897 4.562 0.000
-5.397 0.000 7.618
Na Pu I
1 3 8
direct
0.000 0.000 0.000
0.000 0.500 0.000
0.500 0.000 0.000
0.500 0.500 0.000
0.250 0.250 0.236
0.250 0.741 0.236
0.251 0.251 0.761
0.259 0.750 0.764
0.741 0.250 0.236
0.749 0.749 0.239
0.750 0.259 0.764
0.750 0.750 0.764
```

---

5.
The following is a theoretical powder diffraction line list of ReBi3O8. It was derived from a cell relaxed with PBE, using Cu Kα (λ = 1.5418 Å).
Kinematic intensities with the Lorentz-polarization factor, no thermal factor.

Main lines, sorted by position (10 to 80 degrees two-theta):
- 2θ = 26.33°, I 100
- 2θ = 30.49°, I 40
- 2θ = 42.21°, I 7
- 2θ = 43.66°, I 37
- 2θ = 51.70°, I 35
- 2θ = 54.19°, I 9
- 2θ = 62.34°, I 7
- 2θ = 69.93°, I 10
- 2θ = 72.03°, I 8
- 2θ = 75.12°, I 7

Crystal structure
```
ReBi3O8
1.0
-5.864 5.864 5.864
5.864 -5.864 5.864
5.864 5.864 -5.864
Re Bi O
4 12 32
direct
0.000 0.269 0.500
0.231 0.231 0.231
0.269 0.500 0.000
0.500 0.000 0.269
0.235 0.986 0.523
0.265 0.788 0.751
0.514 0.749 0.537
0.523 0.235 0.986
0.537 0.514 0.749
0.712 0.977 0.963
0.749 0.537 0.514
0.751 0.265 0.788
0.788 0.751 0.265
0.963 0.712 0.977
0.977 0.963 0.712
0.986 0.523 0.235
0.000 0.443 0.500
0.000 0.946 0.500
0.019 0.769 0.250
0.057 0.057 0.057
0.119 0.303 0.923
0.184 0.381 0.304
0.196 0.577 0.880
0.197 0.316 0.620
0.250 0.019 0.769
0.250 0.778 0.528
0.303 0.923 0.119
0.304 0.184 0.381
0.316 0.620 0.197
0.381 0.304 0.184
0.443 0.500 0.000
0.481 0.731 0.750
0.500 0.000 0.443
0.500 0.000 0.946
0.528 0.250 0.778
0.554 0.554 0.554
0.577 0.880 0.196
0.620 0.197 0.316
0.722 0.972 0.750
0.731 0.750 0.481
0.750 0.481 0.731
0.750 0.722 0.972
0.769 0.250 0.019
0.778 0.528 0.250
0.880 0.196 0.577
0.923 0.119 0.303
0.946 0.500 0.000
0.972 0.750 0.722
```

---

6.
The following is a theoretical powder diffraction line list of UTl2Se2S2. It was derived from a cell relaxed with PBE, using Cu Kα (λ = 1.5418 Å).
Kinematic intensities with the Lorentz-polarization factor, no thermal factor.

Main lines, sorted by position (10 to 80 degrees two-theta):
- 2θ = 22.22°, I 100
- 2θ = 22.63°, I 82
- 2θ = 26.10°, I 79
- 2θ = 28.20°, I 45
- 2θ = 28.40°, I 39
- 2θ = 34.80°, I 97
- 2θ = 35.29°, I 52
- 2θ = 36.41°, I 45
- 2θ = 46.29°, I 41
- 2θ = 52.26°, I 44

Crystal structure
```
UTl2Se2S2
1.0
-2.038 3.415 7.402
2.038 -3.415 7.402
2.038 3.415 -7.402
U Tl Se S
1 2 2 2
direct
0.000 0.000 0.000
0.339 0.839 0.500
0.661 0.161 0.500
0.179 0.179 0.000
0.821 0.821 0.000
0.237 0.500 0.737
0.763 0.500 0.263
```

---

7.
The following is a theoretical powder diffraction line list of KDyIn2Br6. It was derived from a cell relaxed with PBE, using Cu Kα (λ = 1.5418 Å).
Kinematic intensities with the Lorentz-polarization factor, no thermal factor.

Main lines, sorted by position (10 to 80 degrees two-theta):
- 2θ = 13.29°, I 45
- 2θ = 15.21°, I 42
- 2θ = 21.25°, I 40
- 2θ = 21.90°, I 22
- 2θ = 25.43°, I 90
- 2θ = 30.70°, I 48
- 2θ = 34.00°, I 100
- 2θ = 38.03°, I 36
- 2θ = 38.41°, I 55
- 2θ = 52.23°, I 24

Crystal structure
```
KDyIn2Br6
1.0
8.110 0.000 0.000
-4.053 7.037 0.000
-4.054 -2.341 6.937
K Dy In Br
1 1 2 6
direct
0.000 0.000 0.000
0.985 0.492 0.477
0.582 0.291 0.872
0.593 0.797 0.390
0.077 0.388 0.220
0.079 0.251 0.692
0.441 0.828 0.692
0.532 0.144 0.220
0.832 0.688 0.220
0.863 0.613 0.692
```

---

8.
The following is a theoretical powder diffraction line list of Pd2PbAu5. It was derived from a cell relaxed with PBE, using Cu Kα (λ = 1.5418 Å).
Kinematic intensities with the Lorentz-polarization factor, no thermal factor.

Main lines, sorted by position (10 to 80 degrees two-theta):
- 2θ = 37.24°, I 100
- 2θ = 38.04°, I 5
- 2θ = 42.60°, I 33
- 2θ = 44.57°, I 16
- 2θ = 61.74°, I 6
- 2θ = 63.35°, I 20
- 2θ = 74.38°, I 12
- 2θ = 74.51°, I 9
- 2θ = 77.23°, I 12
- 2θ = 79.28°, I 6

Crystal structure
```
Pd2PbAu5
1.0
5.994 0.000 0.000
0.000 12.021 0.000
0.000 0.000 4.066
Pd Pb Au
4 2 10
direct
0.230 0.122 0.000
0.270 0.622 0.000
0.730 0.378 0.000
0.770 0.878 0.000
0.000 0.000 0.500
0.500 0.500 0.500
0.000 0.500 0.500
0.031 0.747 0.500
0.218 0.366 0.000
0.282 0.866 0.000
0.469 0.247 0.500
0.500 0.000 0.500
0.531 0.753 0.500
0.718 0.134 0.000
0.782 0.634 0.000
0.969 0.253 0.500
```